[1]
The following is a simulated X-ray diffraction stick pattern of ErB3N3. It was derived from a cell relaxed with GGA-PBE, using Cu Kα.
Intensities are scaled so that the largest is 100.

Crystal structure
abc: 4.7856 4.7856 4.7856
angles: 90.00 90.00 90.00
Space group Pm-3n (No. 223)
Unique sites:
Er: 0.0000 0.0000 0.0000
B: 0.0000 0.2500 0.5000
N: 0.0000 0.5000 0.2500

Most intense lines, 10 to 80 degrees two-theta, in order of rising 2θ:
26.3 deg, I 100, (1 1 0); 37.6 deg, I 34, (2 0 0); 46.5 deg, I 74, (2 1 1); 54.2 deg, I 15, (2 2 0); 61.3 deg, I 21, (3 1 0); 67.8 deg, I 3, (2 2 2); 74.1 deg, I 36, (3 2 1)

[2]
The following is a simulated X-ray diffraction stick pattern of Na2Er2B2TeO10. It was derived from a cell relaxed with GGA-PBE, using Cu Kα.
Intensities are scaled so that the largest is 100.

Crystal structure
abc: 6.3348 9.9779 6.7599
angles: 90.00 103.45 90.00
Space group P2_1/c (No. 14)
Unique sites:
Na: 0.0856 0.1119 0.1698
Er: 0.3737 0.6659 0.9774
B: 0.1625 0.0992 0.6302
Te: 0.5000 0.0000 0.0000
O: 0.0212 0.6708 0.9424
O: 0.2072 0.0615 0.8393
O: 0.3026 0.0615 0.5116
O: 0.3390 0.6178 0.6374
O: 0.4949 0.1513 0.1788

Most intense lines, 10 to 80 degrees two-theta, in order of rising 2θ:
14.4 deg, I 100, (1 0 0); 16.9 deg, I 40, (1 1 0); 27.1 deg, I 40, (0 0 2); 27.6 deg, I 27, (1 0 -2); 30.1 deg, I 64, (0 3 1); 30.4 deg, I 39, (2 1 0); 32.1 deg, I 39, (1 3 -1); 34.2 deg, I 22, (2 2 -1); 34.9 deg, I 27, (1 3 1); 49.8 deg, I 19, (0 3 3)

[3]
The following is a simulated X-ray diffraction stick pattern of Er2Ni21B6. It was derived from a cell relaxed with GGA-PBE, using Cu Kα.
Intensities are scaled so that the largest is 100.

Crystal structure
abc: 10.6621 10.6621 10.6621
angles: 90.00 90.00 90.00
Space group Fm-3m (No. 225)
Unique sites:
Er: 0.2500 0.2500 0.2500
Ni: 0.0000 0.0000 0.0000
Ni: 0.0000 0.1684 0.1684
Ni: 0.1123 0.1123 0.3877
B: 0.0000 0.0000 0.2704

Most intense lines, 10 to 80 degrees two-theta, in order of rising 2θ:
16.6 deg, I 14, (2 0 0); 23.6 deg, I 16, (2 2 0); 37.7 deg, I 75, (4 2 0); 41.5 deg, I 66, (4 2 2); 44.1 deg, I 100, (3 3 3); 48.3 deg, I 35, (4 4 0); 50.7 deg, I 25, (5 3 1); 57.3 deg, I 21, (6 2 2); 73.2 deg, I 22, (6 4 4); 75.7 deg, I 39, (6 6 0)

[4]
The following is a simulated X-ray diffraction stick pattern of Er3Ni19B10. It was derived from a cell relaxed with GGA-PBE, using Cu Kα.
Intensities are scaled so that the largest is 100.

Crystal structure
abc: 13.1528 8.7012 5.7631
angles: 90.00 91.33 90.00
Space group C2/m (No. 12)
Unique sites:
Er: 0.0000 0.0000 0.0000
Er: 0.1259 0.5000 0.3858
Ni: 0.0000 0.0000 0.5000
Ni: 0.0297 0.2595 0.6989
Ni: 0.1222 0.5000 0.8733
Ni: 0.1275 0.2497 0.0744
Ni: 0.1624 0.0000 0.7037
Ni: 0.1815 0.0000 0.2707
Ni: 0.2187 0.2643 0.6979
B: 0.0000 0.3844 0.0000
B: 0.1178 0.1834 0.4308
B: 0.2460 0.1035 0.9742

Most intense lines, 10 to 80 degrees two-theta, in order of rising 2θ:
35.7 deg, I 49, (5 1 0); 37.4 deg, I 42, (4 2 -1); 38.0 deg, I 41, (4 2 1); 38.4 deg, I 60, (3 1 -2); 40.2 deg, I 95, (2 2 2); 41.5 deg, I 100, (0 4 0); 46.4 deg, I 37, (4 2 -2); 46.6 deg, I 37, (5 3 0); 47.3 deg, I 44, (0 0 3); 48.8 deg, I 44, (3 3 -2)